No. 1
For Re3Mo, a crystal structure in the Materials Project, relaxed with GGA-PBE gives the computed PXRD pattern in this record (Cu Kα (weighted mean of Kα1 and Kα2)).
Lines closer than 0.1° are merged.

Structure:
abc: 5.590 5.590 4.550
angles: 90.00 90.00 120.00
Positions (direct):
Re (0.166, 0.332, 0.250)
Re (0.166, 0.834, 0.250)
Re (0.332, 0.166, 0.750)
Re (0.668, 0.834, 0.250)
Re (0.834, 0.166, 0.750)
Re (0.834, 0.668, 0.750)
Mo (0.333, 0.667, 0.750)
Mo (0.667, 0.333, 0.250)

Peak list (12 most intense, 2θ from 5° to 70°, in order of rising 2θ)
18.3°, I = 3
26.9°, I = 5
32.0°, I = 2
37.1°, I = 24
39.6°, I = 27
42.3°, I = 100
44.0°, I = 1
51.8°, I = 1
54.0°, I = 2
55.4°, I = 15
64.4°, I = 1
67.0°, I = 17

---

No. 2
For Re24Mo5, a crystal structure in the Materials Project, relaxed with GGA-PBE gives the computed PXRD pattern in this record (Cu Kα (weighted mean of Kα1 and Kα2)).
Lines closer than 0.1° are merged.

Structure:
abc: 8.360 8.360 8.360
angles: 109.47 109.47 109.47
Positions (direct):
Re (0.000, 0.193, 0.375)
Re (0.000, 0.375, 0.193)
Re (0.000, 0.401, 0.685)
Re (0.000, 0.685, 0.401)
Re (0.182, 0.807, 0.807)
Re (0.193, 0.000, 0.375)
Re (0.193, 0.375, 0.000)
Re (0.283, 0.599, 0.599)
Re (0.315, 0.315, 0.717)
Re (0.315, 0.717, 0.315)
Re (0.375, 0.000, 0.193)
Re (0.375, 0.193, 0.000)
Re (0.401, 0.000, 0.685)
Re (0.401, 0.685, 0.000)
Re (0.599, 0.283, 0.599)
Re (0.599, 0.599, 0.283)
Re (0.625, 0.625, 0.818)
Re (0.625, 0.818, 0.625)
Re (0.685, 0.000, 0.401)
Re (0.685, 0.401, 0.000)
Re (0.717, 0.315, 0.315)
Re (0.807, 0.182, 0.807)
Re (0.807, 0.807, 0.182)
Re (0.818, 0.625, 0.625)
Mo (0.000, 0.000, 0.000)
Mo (0.000, 0.000, 0.641)
Mo (0.000, 0.641, 0.000)
Mo (0.359, 0.359, 0.359)
Mo (0.641, 0.000, 0.000)

Peak list (12 most intense, 2θ from 5° to 70°, in order of rising 2θ)
13.0°, I = 3
22.6°, I = 6
26.1°, I = 4
37.3°, I = 10
39.6°, I = 100
44.0°, I = 36
46.1°, I = 9
48.1°, I = 29
51.9°, I = 1
64.0°, I = 2
67.2°, I = 6
68.8°, I = 9

---

No. 3
For ReMo3, a crystal structure in the Materials Project, relaxed with GGA-PBE gives the computed PXRD pattern in this record (Cu Kα (weighted mean of Kα1 and Kα2)).
Lines closer than 0.1° are merged.

Structure:
abc: 2.730 2.730 8.954
angles: 90.00 90.00 109.80
Positions (direct):
Re (0.000, 0.000, 0.000)
Mo (0.000, 0.000, 0.500)
Mo (0.500, 0.500, 0.250)
Mo (0.500, 0.500, 0.750)

Peak list (12 most intense, 2θ from 5° to 70°, in order of rising 2θ)
9.9°, I = 21
19.8°, I = 5
29.9°, I = 2
34.9°, I = 2
36.4°, I = 4
40.3°, I = 51
40.5°, I = 100
41.7°, I = 2
46.7°, I = 2
54.4°, I = 1
58.4°, I = 17
58.8°, I = 8

---

No. 4
For Re3Mo2, a crystal structure in the Materials Project, relaxed with GGA-PBE gives the computed PXRD pattern in this record (Cu Kα (weighted mean of Kα1 and Kα2)).
Lines closer than 0.1° are merged.

Structure:
abc: 9.619 9.619 5.058
angles: 90.00 90.00 90.03
Positions (direct):
Re (0.068, 0.738, 0.501)
Re (0.100, 0.900, 0.000)
Re (0.183, 0.183, 0.252)
Re (0.238, 0.433, 0.003)
Re (0.262, 0.932, 0.501)
Re (0.317, 0.683, 0.253)
Re (0.317, 0.683, 0.750)
Re (0.400, 0.400, 0.502)
Re (0.433, 0.238, 0.003)
Re (0.567, 0.762, 0.003)
Re (0.600, 0.600, 0.502)
Re (0.683, 0.317, 0.253)
Re (0.683, 0.317, 0.750)
Re (0.738, 0.068, 0.501)
Re (0.762, 0.567, 0.003)
Re (0.817, 0.817, 0.252)
Re (0.900, 0.100, 0.000)
Re (0.932, 0.262, 0.501)
Mo (0.000, 0.000, 0.497)
Mo (0.038, 0.633, 0.002)
Mo (0.133, 0.464, 0.502)
Mo (0.183, 0.183, 0.753)
Mo (0.367, 0.962, 0.002)
Mo (0.464, 0.133, 0.502)
Mo (0.500, 0.500, 0.001)
Mo (0.536, 0.867, 0.502)
Mo (0.633, 0.038, 0.002)
Mo (0.817, 0.817, 0.753)
Mo (0.867, 0.536, 0.502)
Mo (0.962, 0.367, 0.002)

Peak list (12 most intense, 2θ from 5° to 70°, in order of rising 2θ)
27.2°, I = 14
35.5°, I = 18
38.6°, I = 100
39.8°, I = 30
40.3°, I = 26
41.4°, I = 89
42.7°, I = 83
43.8°, I = 61
44.7°, I = 19
67.8°, I = 15
68.7°, I = 20
69.4°, I = 35

---

No. 5
For Re3Mo, a crystal structure in the Materials Project, relaxed with GGA-PBE gives the computed PXRD pattern in this record (Cu Kα (weighted mean of Kα1 and Kα2)).
Lines closer than 0.1° are merged.

Structure:
abc: 4.821 4.821 4.821
angles: 131.60 131.60 70.86
Positions (direct):
Re (0.000, 0.000, 0.000)
Re (0.250, 0.750, 0.500)
Re (0.750, 0.250, 0.500)
Mo (0.500, 0.500, 0.000)

Peak list (12 most intense, 2θ from 5° to 70°, in order of rising 2θ)
22.6°, I = 2
25.2°, I = 5
32.0°, I = 2
39.6°, I = 100
41.4°, I = 2
45.9°, I = 33
46.2°, I = 16
51.8°, I = 1
53.1°, I = 2
63.5°, I = 1
67.0°, I = 11
67.2°, I = 21

---

No. 6
For ZnRe2Mo2S8, a crystal structure in the Materials Project, relaxed with GGA-PBE gives the computed PXRD pattern in this record (Cu Kα (weighted mean of Kα1 and Kα2)).
Lines closer than 0.1° are merged.

Structure:
abc: 6.889 6.889 6.889
angles: 120.25 119.78 89.97
Positions (direct):
Zn (0.000, 0.000, 0.000)
Re (0.394, 0.188, 0.793)
Re (0.394, 0.601, 0.207)
Mo (0.395, 0.600, 0.795)
Mo (0.805, 0.600, 0.205)
S (0.097, 0.363, 0.734)
S (0.138, 0.410, 0.272)
S (0.138, 0.865, 0.728)
S (0.140, 0.863, 0.278)
S (0.585, 0.863, 0.722)
S (0.629, 0.363, 0.266)
S (0.631, 0.361, 0.730)
S (0.631, 0.901, 0.270)

Peak list (12 most intense, 2θ from 5° to 70°, in order of rising 2θ)
15.7°, I = 100
18.2°, I = 33
25.8°, I = 15
30.4°, I = 37
30.5°, I = 36
36.9°, I = 57
40.3°, I = 16
45.5°, I = 15
45.7°, I = 20
48.5°, I = 37
48.6°, I = 19
53.2°, I = 30

---

> Number 2 is which compound?

Re24Mo5